Starting from a GGA-PBE-relaxed structure, the PXRD pattern of Li3PF6 was computed for Cu Kα, 1.54184 Å.
No peak broadening, texture or thermal motion is included.

Most intense lines, 5° ≤ 2θ ≤ 70°, sorted by position:
| 2θ/deg | d_spacing | Rel. int. | h k l |
| --- | --- | --- | --- |
| 14.84 | 5.971 | 100 | 0 0 1 |
| 17.08 | 5.192 | 47 | 0 1 0 |
| 17.21 | 5.152 | 8 | 1 0 0 |
| 22.69 | 3.919 | 13 | 1 1 0 |
| 31.87 | 2.808 | 14 | 1 -1 1 |
| 34.63 | 2.590 | 14 | 1 0 -2 |
| 34.80 | 2.578 | 10 | 2 0 0 |
| 36.72 | 2.447 | 11 | 1 2 1 |
| 46.36 | 1.958 | 11 | 2 2 1 |
| 46.46 | 1.955 | 7 | 1 -2 1 |

```
Li3PF6
1.0
5.1974 0.0000 0.0000
0.7068 5.3187 0.0000
0.1456 1.3268 5.9714
Li P F
3 1 6
Direct
0.0000 0.0000 0.0000 Li
0.0000 0.5000 0.0000 Li
0.5000 0.0000 0.5000 Li
0.5000 0.0000 0.0000 P
0.2119 0.2554 0.8421 F
0.2761 0.7489 0.9433 F
0.2836 0.0291 0.2667 F
0.7164 0.9709 0.7333 F
0.7239 0.2511 0.0567 F
0.7881 0.7446 0.1579 F
```